Theoretical X-ray diffraction stick pattern of In2Ni7Sb2Au for CuKα, from a structure optimized by DFT (PBE).

The 10 most intense peaks (10° ≤ 2θ ≤ 90°), sorted by position:
hkl 0 0 2, 11.86 deg, d 7.462, I 59
hkl 1 1 2, 28.27 deg, d 3.157, I 86
hkl 1 1 -3, 29.27 deg, d 3.051, I 68
hkl 0 2 0, 35.01 deg, d 2.563, I 52
hkl 0 2 3, 39.56 deg, d 2.278, I 53
hkl 1 1 5, 40.73 deg, d 2.215, I 53
hkl 0 0 7, 42.36 deg, d 2.134, I 79
hkl 0 2 4, 42.81 deg, d 2.112, I 48
hkl 0 2 5, 46.72 deg, d 1.944, I 57
hkl 2 2 -1, 50.24 deg, d 1.816, I 100

Atomic structure:
Unit cell a=5.154 b=5.126 c=15.028 alpha=90.00 beta=96.73 gamma=90.00
Space group C2/m (No. 12)
Symmetry-distinct sites (fractional):
1 In 0.087 0.000 0.255
2 Ni 0.000 0.000 0.000
3 Ni 0.164 0.000 0.439
4 Ni 0.207 0.250 0.873
5 Sb 0.147 0.500 0.396
6 Au 0.000 0.500 0.000